1.
CdBr3N2: calculated X-ray diffraction stick pattern (Cu Kα (λ = 1.5418 Å)), based on a cell relaxed with GGA-PBE.
Lines closer than 0.1° are merged.

Structure:
a b c (Å): 4.477 7.790 12.816
angles (deg): 104.45 91.29 106.27
Fractional positions:
Cd 0.136 0.263 0.031
Cd 0.864 0.737 0.969
Br 0.004 0.001 0.409
Br 0.029 0.007 0.150
Br 0.266 0.545 0.890
Br 0.734 0.455 0.110
Br 0.971 0.993 0.850
Br 0.996 0.999 0.591
N 0.275 0.523 0.345
N 0.288 0.582 0.434
N 0.712 0.418 0.566
N 0.725 0.477 0.655

Peak list (10 most intense, 2θ from 10° to 80°, in order of rising 2θ)
2θ (°), I (rel.)
14.34, 42
15.80, 21
20.78, 100
24.71, 13
26.05, 15
27.23, 15
28.23, 25
32.78, 31
38.35, 20
40.30, 33

=====

2.
InTc2SbRu: calculated X-ray diffraction stick pattern (Cu Kα (λ = 1.5418 Å)), based on a cell relaxed with GGA-PBE.
Lines closer than 0.1° are merged.

Structure:
a b c (Å): 4.760 4.760 4.949
angles (deg): 90.00 90.00 90.00
Fractional positions:
In 0.000 0.000 0.000
Tc 0.000 0.500 0.500
Tc 0.500 0.000 0.500
Sb 0.500 0.500 0.000
Ru 0.500 0.500 0.500

Peak list (10 most intense, 2θ from 10° to 80°, in order of rising 2θ)
2θ (°), I (rel.)
18.64, 20
25.97, 15
26.48, 14
32.16, 100
36.30, 47
37.80, 84
53.41, 60
54.53, 28
64.73, 25
67.28, 29

=====

Repeat the first record exactly.
CdBr3N2: calculated X-ray diffraction stick pattern (Cu Kα (λ = 1.5418 Å)), based on a cell relaxed with GGA-PBE.
Lines closer than 0.1° are merged.

Structure:
a b c (Å): 4.477 7.790 12.816
angles (deg): 104.45 91.29 106.27
Fractional positions:
Cd 0.136 0.263 0.031
Cd 0.864 0.737 0.969
Br 0.004 0.001 0.409
Br 0.029 0.007 0.150
Br 0.266 0.545 0.890
Br 0.734 0.455 0.110
Br 0.971 0.993 0.850
Br 0.996 0.999 0.591
N 0.275 0.523 0.345
N 0.288 0.582 0.434
N 0.712 0.418 0.566
N 0.725 0.477 0.655

Peak list (10 most intense, 2θ from 10° to 80°, in order of rising 2θ)
2θ (°), I (rel.)
14.34, 42
15.80, 21
20.78, 100
24.71, 13
26.05, 15
27.23, 15
28.23, 25
32.78, 31
38.35, 20
40.30, 33